No. 1
# Cs3LiBr4
Computed powder diffractogram, a wavelength of 1.5418 Å. Input: a DFT-relaxed cell (GGA-PBE, Alexandria).

The 10 most intense peaks (5° ≤ 2θ ≤ 70°), in order of falling intensity:
(hkl)  two_theta  Rel. int.
0 4 1  26.4  1000
2 2 2  29.4  597
2 2 1  22.4  501
3 5 0  38.5  283
2 0 2  26.8  241
4 0 0  31.3  207
4 4 1  41.4  193
0 0 2  21.7  167
2 4 0  28.7  155
2 4 1  30.8  150

```
data_Cs3LiBr4
_space_group_name_H-M_alt 'C 2 2 21'
_space_group_IT_number 20
_space_group_name_Hall 'C 2c 2'
_cell_length_a 11.428
_cell_length_b 14.812
_cell_length_c 8.200
_cell_angle_alpha 90.00
_cell_angle_beta 90.00
_cell_angle_gamma 90.00
loop_
_atom_site_label
_atom_site_type_symbol
_atom_site_fract_x
_atom_site_fract_y
_atom_site_fract_z
Cs1 Cs 0.000 0.200 0.250
Cs2 Cs 0.239 0.077 0.771
Li1 Li 0.000 0.391 0.750
Br1 Br 0.011 0.000 0.500
Br2 Br 0.032 0.500 0.000
Br3 Br 0.186 0.311 0.661
```

No. 2
# NaReO6
Computed powder diffractogram, a wavelength of 1.5418 Å. Input: a DFT-relaxed cell (GGA-PBE, Alexandria).

The 10 most intense peaks (5° ≤ 2θ ≤ 70°), in order of falling intensity:
(hkl)  two_theta  Rel. int.
1 0 1  18.6  1000
0 1 2  26.9  604
1 1 0  25.8  523
1 2 2  46.2  392
0 2 1  32.0  298
1 1 3  43.0  222
2 1 4  62.2  146
0 3 3  57.9  119
2 2 0  53.0  118
2 0 2  37.6  116

```
data_NaReO6
_space_group_name_H-M_alt 'R -3 m'
_space_group_IT_number 166
_space_group_name_Hall '-R 3 2"'
_cell_length_a 6.9092
_cell_length_b 6.9092
_cell_length_c 7.9543
_cell_angle_alpha 90.00
_cell_angle_beta 90.00
_cell_angle_gamma 120.00
loop_
_atom_site_label
_atom_site_type_symbol
_atom_site_fract_x
_atom_site_fract_y
_atom_site_fract_z
Na1 Na 0.0000 0.0000 0.0000
Re1 Re 0.0000 0.0000 0.5000
O1 O 0.0774 0.5387 0.3045
```

No. 3
# Sc2N
Computed powder diffractogram, a wavelength of 1.5418 Å. Input: a DFT-relaxed cell (GGA-PBE, Alexandria).

The 10 most intense peaks (5° ≤ 2θ ≤ 70°), in order of falling intensity:
(hkl)  two_theta  Rel. int.
1 0 2  36.2  1000
1 0 3  40.9  335
1 0 1  33.1  283
1 1 0  56.9  273
0 0 4  33.4  251
0 0 2  16.5  226
1 1 4  67.7  173
1 0 6  61.5  168
1 0 5  53.8  148
2 0 2  69.4  123

```
data_Sc2N
_space_group_name_H-M_alt 'P 63 m c'
_space_group_IT_number 186
_space_group_name_Hall 'P 6c -2c'
_cell_length_a 3.2340
_cell_length_b 3.2340
_cell_length_c 10.7315
_cell_angle_alpha 90.00
_cell_angle_beta 90.00
_cell_angle_gamma 120.00
loop_
_atom_site_label
_atom_site_type_symbol
_atom_site_fract_x
_atom_site_fract_y
_atom_site_fract_z
Sc1 Sc 0.0000 0.0000 0.0000
Sc2 Sc 0.3333 0.6667 0.2280
N1 N 0.3333 0.6667 0.6112
```

No. 4
# AgGe2Te3
Computed powder diffractogram, a wavelength of 1.5418 Å. Input: a DFT-relaxed cell (GGA-PBE, Alexandria).

The 10 most intense peaks (5° ≤ 2θ ≤ 70°), in order of falling intensity:
(hkl)  two_theta  Rel. int.
0 3 2  29.9  1000
2 3 2  43.2  728
2 0 0  30.3  489
2 0 4  53.3  192
2 6 0  53.5  188
0 0 4  42.7  186
0 6 0  43.0  181
0 6 4  62.2  116
4 0 0  63.1  59
1 3 0  26.0  42

```
data_AgGe2Te3
_space_group_name_H-M_alt 'P 1 21/c 1'
_space_group_IT_number 14
_space_group_name_Hall '-P 2ybc'
_cell_length_a 5.891
_cell_length_b 12.621
_cell_length_c 8.465
_cell_angle_alpha 90.00
_cell_angle_beta 90.00
_cell_angle_gamma 90.00
loop_
_atom_site_label
_atom_site_type_symbol
_atom_site_fract_x
_atom_site_fract_y
_atom_site_fract_z
Ag1 Ag 0.250 0.088 0.131
Ge1 Ge 0.250 0.081 0.629
Ge2 Ge 0.250 0.742 0.125
Te1 Te 0.250 0.243 0.878
Te2 Te 0.250 0.583 0.365
Te3 Te 0.250 0.584 0.872
```